Structure and simulated powder diffraction line list of Sm3TmRu8 (a DFT-relaxed cell (GGA-PBE, Alexandria); CuKα).
Peak positions follow from Bragg's law for the DFT cell and can differ from measured ones.

a b c (Å): 5.3593 5.3593 26.4348
angles (deg): 90.00 90.00 120.00
Space group R3m (No. 160, hexagonal axes)
Symmetry-distinct sites (fractional):
Sm  0.0000  0.0000  0.0000 (multiplicity 3)
Sm  0.0000  0.0000  0.1251 (multiplicity 3)
Sm  0.0000  0.0000  0.5001 (multiplicity 3)
Tm  0.0000  0.0000  0.6246 (multiplicity 3)
Ru  0.0000  0.0000  0.3089 (multiplicity 3)
Ru  0.0000  0.0000  0.8092 (multiplicity 3)
Ru  0.0027  0.5014  0.0607 (multiplicity 9)
Ru  0.0075  0.5037  0.5631 (multiplicity 9)

Most intense lines, 2θ = 5–70°, sorted by position:
2θ (°)	Rel. int.	(hkl)
33.3	28	0 1 8
33.4	28	1 1 0
39.2	34	1 0 10
39.4	100	2 0 2
41.0	9	0 0 12
41.2	28	0 2 4
59.7	16	1 2 8
63.5	8	2 0 14
63.7	32	3 0 6
69.9	17	0 2 16



Structure and simulated powder diffraction line list of RbFeS2 (a DFT-relaxed cell (GGA-PBE, Alexandria); CuKα).
Peak positions follow from Bragg's law for the DFT cell and can differ from measured ones.

a b c (Å): 6.8456 6.8456 8.2762
angles (deg): 90.00 90.00 90.00
Space group I-42d (No. 122)
Symmetry-distinct sites (fractional):
Rb  0.0000  0.0000  0.0000 (multiplicity 4)
Fe  0.0000  0.0000  0.5000 (multiplicity 4)
S  0.1075  0.2500  0.6250 (multiplicity 8)

Most intense lines, 2θ = 5–70°, sorted by position:
2θ (°)	Rel. int.	(hkl)
26.0	38	2 0 0
28.4	100	1 1 2
31.1	21	2 1 1
37.1	18	2 2 0
47.4	43	3 1 2
51.6	22	2 0 4
53.5	8	4 0 0
58.7	13	2 2 4
60.5	15	4 2 0
61.7	11	3 3 2



Structure and simulated powder diffraction line list of Pr5Cd (a DFT-relaxed cell (GGA-PBE, Alexandria); CuKα).
Peak positions follow from Bragg's law for the DFT cell and can differ from measured ones.

a b c (Å): 12.7731 3.8251 8.8936
angles (deg): 90.00 110.51 90.00
Space group Cm (No. 8)
Symmetry-distinct sites (fractional):
Pr  0.0000  0.0000  0.0000 (multiplicity 2)
Pr  0.0020  0.0000  0.5822 (multiplicity 2)
Pr  0.1359  0.5000  0.3502 (multiplicity 2)
Pr  0.2982  0.0000  0.7000 (multiplicity 2)
Pr  0.3317  0.0000  0.2074 (multiplicity 2)
Cd  0.1794  0.5000  0.8983 (multiplicity 2)

Most intense lines, 2θ = 5–70°, sorted by position:
2θ (°)	Rel. int.	(hkl)
30.1	95	4 0 -2
30.8	100	1 1 -2
32.4	87	3 1 0
40.6	17	2 0 -4
45.5	12	6 0 0
47.5	17	0 2 0
52.1	9	3 1 3
52.9	28	5 1 -4
56.0	23	7 1 -2
57.3	30	4 2 -2